1.
Diffraction record for Sr9H14O2. The X-ray powder pattern is theoretical, not measured: it uses a cell relaxed with PBE and Cu Kα (weighted mean of Kα1 and Kα2).
Intensities are scaled so that the largest is 100.

Peak list (12 most intense, 10° ≤ 2θ ≤ 90°, by angle)
index	d (Å)	I/Imax
1 0 1	5.349	14
2 -1 1	3.420	100
0 0 3	3.389	34
1 1 2	2.955	58
3 0 0	2.096	24
2 -1 4	2.082	26
2 2 1	1.787	12
3 0 3	1.783	24
1 1 5	1.774	13
4 -2 2	1.709	13
5 -1 1	1.360	8
3 0 6	1.318	7

Structure:
Lattice parameters (Å, degrees): 7.2625 7.2625 10.1678 90.00 90.00 120.00
Space group P-3 (No. 147)
One atom of each set of equivalent atoms:
Sr 0.0000 0.0000 0.0000 [1 per cell]
Sr 0.0458 0.3485 0.3374 [6 per cell]
Sr 0.3333 0.6667 0.0265 [2 per cell]
H 0.0000 0.0000 0.2529 [2 per cell]
H 0.0338 0.6828 0.9101 [6 per cell]
H 0.0502 0.3689 0.5891 [6 per cell]
O 0.3333 0.6667 0.2559 [2 per cell]

---

2.
Diffraction record for Rb3IrBr6. The X-ray powder pattern is theoretical, not measured: it uses a cell relaxed with PBE and Cu Kα (weighted mean of Kα1 and Kα2).
Intensities are scaled so that the largest is 100.

Peak list (12 most intense, 10° ≤ 2θ ≤ 90°, by angle)
index	d (Å)	I/Imax
1 1 1	6.608	48
2 0 0	5.723	53
2 2 0	4.047	57
2 2 2	3.304	31
4 0 0	2.862	100
4 2 0	2.559	20
4 2 2	2.336	19
5 1 1	2.203	24
4 4 0	2.023	65
6 2 0	1.810	20
4 4 4	1.652	20
8 4 0	1.280	22

Structure:
Lattice parameters (Å, degrees): 11.4462 11.4462 11.4462 90.00 90.00 90.00
Space group Fm-3m (No. 225)
One atom of each set of equivalent atoms:
Rb 0.0000 0.0000 0.0000 [4 per cell]
Rb 0.2500 0.2500 0.2500 [8 per cell]
Ir 0.0000 0.0000 0.5000 [4 per cell]
Br 0.0000 0.0000 0.2808 [24 per cell]

---

3.
Diffraction record for LuB4Ru. The X-ray powder pattern is theoretical, not measured: it uses a cell relaxed with PBE and Cu Kα (weighted mean of Kα1 and Kα2).
Intensities are scaled so that the largest is 100.

Peak list (12 most intense, 10° ≤ 2θ ≤ 90°, by angle)
index	d (Å)	I/Imax
0 0 1	3.521	76
1 3 0	3.201	18
0 4 0	2.859	84
1 4 0	2.571	17
1 3 1	2.368	21
2 3 0	2.334	18
0 4 1	2.219	100
1 4 1	2.076	23
2 3 1	1.945	26
0 0 2	1.760	17
2 5 1	1.608	11
0 4 2	1.499	25

Structure:
Lattice parameters (Å, degrees): 5.9091 11.4226 3.5206 90.00 90.00 90.00
Space group Pbam (No. 55)
One atom of each set of equivalent atoms:
Lu 0.1292 0.1498 0.0000 [4 per cell]
B 0.0230 0.6928 0.5000 [4 per cell]
B 0.1130 0.5476 0.5000 [4 per cell]
B 0.1348 0.9702 0.5000 [4 per cell]
B 0.2085 0.8139 0.5000 [4 per cell]
Ru 0.1421 0.4066 0.0000 [4 per cell]

---

4.
Diffraction record for DyPaSe2. The X-ray powder pattern is theoretical, not measured: it uses a cell relaxed with PBE and Cu Kα (weighted mean of Kα1 and Kα2).
Intensities are scaled so that the largest is 100.

Peak list (12 most intense, 10° ≤ 2θ ≤ 90°, by angle)
index	d (Å)	I/Imax
0 0 6	3.433	9
0 1 2	3.285	24
1 0 4	2.875	100
0 1 8	2.067	39
1 1 0	2.001	36
1 1 6	1.729	8
0 0 12	1.717	7
0 2 4	1.643	19
2 0 8	1.438	12
1 1 12	1.303	18
2 1 4	1.270	16
1 2 8	1.168	13

Structure:
Lattice parameters (Å, degrees): 4.0024 4.0024 20.5985 90.00 90.00 120.00
Space group P-3m1 (No. 164)
One atom of each set of equivalent atoms:
Dy 0.0000 0.0000 0.0000 [1 per cell]
Dy 0.3333 0.6667 0.1671 [2 per cell]
Pa 0.0000 0.0000 0.5000 [1 per cell]
Pa 0.3333 0.6667 0.6661 [2 per cell]
Se 0.0000 0.0000 0.2479 [2 per cell]
Se 0.3333 0.6667 0.4171 [2 per cell]
Se 0.3333 0.6667 0.9172 [2 per cell]